Starting from the GGA-PBE geometry in OQMD, the XRD peak list of LaZnSiH2O5 was computed for Cu Kα (weighted mean of Kα1 and Kα2).
Neutral-atom scattering factors, no anomalous dispersion.

Main lines, low angle first (10° ≤ 2θ ≤ 90°):
two_theta	d (Å)	intensity	hkl
18.60	4.771	42	1 1 0
19.39	4.578	57	0 2 1
22.24	3.998	18	0 4 0
27.37	3.259	100	1 3 -1
31.04	2.881	72	1 3 1
33.23	2.696	54	1 5 0
34.27	2.617	29	1 1 -2
38.35	2.347	35	2 2 -1
43.81	2.066	19	2 2 1
48.30	1.884	30	0 8 1

Structural model:
```
data_LaZnSiH2O5
_chemical_formula_sum 'La4 Zn4 Si4 H8 O20'
_cell_length_a 5.0846
_cell_length_b 16.0084
_cell_length_c 5.6772
_cell_angle_alpha 90.00
_cell_angle_beta 100.59
_cell_angle_gamma 90.00
_symmetry_space_group_name_H-M 'C 1 c 1'
_symmetry_Int_Tables_number 9
loop_
_symmetry_equiv_pos_as_xyz
'x,y,z'
'x,-y,z+1/2'
'x+1/2,y+1/2,z'
'x+1/2,-y+1/2,z+1/2'
loop_
_atom_site_label
_atom_site_fract_x
_atom_site_fract_y
_atom_site_fract_z
La1 0.0000 0.0876 0.0000
Zn1 0.4897 0.2100 0.8659
Si1 0.1401 0.3656 0.8886
H1 0.2806 0.0812 0.5445
H2 0.4558 0.0124 0.7362
O1 0.2510 0.4591 0.8250
O2 0.2574 0.3014 0.6987
O3 0.2596 0.3378 0.1660
O4 0.2704 0.0362 0.6830
O5 0.3138 0.1347 0.3502
```


Starting from the GGA-PBE geometry in OQMD, the XRD peak list of La2Pr2H9 was computed for Cu Kα (weighted mean of Kα1 and Kα2).
Neutral-atom scattering factors, no anomalous dispersion.

Main lines, low angle first (10° ≤ 2θ ≤ 90°):
two_theta	d (Å)	intensity	hkl
27.92	3.195	100	1 1 2
32.14	2.785	17	0 0 4
32.46	2.758	33	2 0 0
46.33	1.960	26	2 0 4
46.57	1.950	13	2 2 0
54.75	1.677	15	1 1 6
55.18	1.665	30	3 1 2
57.71	1.598	13	2 2 4
74.66	1.271	12	3 1 6
86.25	1.128	9	4 2 4

Structural model:
```
data_La2Pr2H9
_chemical_formula_sum 'La4 Pr4 H18'
_cell_length_a 5.5161
_cell_length_b 5.5161
_cell_length_c 11.1413
_cell_angle_alpha 90.00
_cell_angle_beta 90.00
_cell_angle_gamma 90.00
_symmetry_space_group_name_H-M 'I 4/m m m'
_symmetry_Int_Tables_number 139
_symmetry_space_group_name_Hall '-I 4 2'
loop_
_atom_site_label
_atom_site_fract_x
_atom_site_fract_y
_atom_site_fract_z
La1 0.0000 0.5000 0.0000
Pr1 0.0000 0.0000 0.2456
H1 0.0000 0.0000 0.0000
H2 0.2409 0.2409 0.3715
```


Starting from the GGA-PBE geometry in OQMD, the XRD peak list of La2Tb2H9 was computed for Cu Kα (weighted mean of Kα1 and Kα2).
Neutral-atom scattering factors, no anomalous dispersion.

Main lines, low angle first (10° ≤ 2θ ≤ 90°):
two_theta	d (Å)	intensity	hkl
28.77	3.104	100	1 1 2
32.77	2.733	17	0 0 4
33.62	2.666	32	2 0 0
47.65	1.908	26	2 0 4
48.28	1.885	13	2 2 0
56.06	1.640	15	1 1 6
57.17	1.611	29	3 1 2
59.58	1.552	13	2 2 4
77.07	1.238	12	3 1 6
89.73	1.093	9	4 2 4

Structural model:
```
data_La2Tb2H9
_chemical_formula_sum 'La4 Tb4 H18'
_cell_length_a 5.3319
_cell_length_b 5.3319
_cell_length_c 10.9319
_cell_angle_alpha 90.00
_cell_angle_beta 90.00
_cell_angle_gamma 90.00
_symmetry_space_group_name_H-M 'I 4/m m m'
_symmetry_Int_Tables_number 139
_symmetry_space_group_name_Hall '-I 4 2'
loop_
_atom_site_label
_atom_site_fract_x
_atom_site_fract_y
_atom_site_fract_z
La1 0.0000 0.0000 0.2451
Tb1 0.0000 0.5000 0.0000
H1 0.0000 0.0000 0.0000
H2 0.2391 0.2391 0.3838
```